(1)
This entry pairs a crystal structure of Li4MnCo2O7 with its computed XRD peak list. Radiation: a wavelength of 1.5418 Å. Structure: a structure optimized by DFT (PBE+U).
Intensities are scaled so that the largest is 100.

Structure:
a b c (Å): 15.0601 15.0601 5.8889
angles (deg): 95.83 95.83 11.11
Sites, in units of the cell vectors:
Li1 0.0000 0.0000 0.0000
Li2 0.0000 0.0000 0.5000
Li3 0.1375 0.1375 0.5656
Li4 0.2884 0.2884 0.1477
Li5 0.4338 0.4338 0.7106
Li6 0.5662 0.5662 0.2894
Li7 0.7116 0.7116 0.8523
Li8 0.8625 0.8625 0.4344
Mn1 0.2889 0.2889 0.6471
Mn2 0.7111 0.7111 0.3529
Co1 0.1366 0.1366 0.0668
Co2 0.4351 0.4351 0.2282
Co3 0.5649 0.5649 0.7718
Co4 0.8634 0.8634 0.9332
O1 0.0704 0.0704 0.0171
O2 0.0696 0.0696 0.5527
O3 0.2110 0.2110 0.1241
O4 0.2125 0.2125 0.5808
O5 0.3614 0.3614 0.7042
O6 0.3640 0.3640 0.1662
O7 0.4941 0.4941 0.2459
O8 0.5059 0.5059 0.7541
O9 0.6360 0.6360 0.8338
O10 0.6386 0.6386 0.2958
O11 0.7875 0.7875 0.4192
O12 0.7890 0.7890 0.8759
O13 0.9304 0.9304 0.4473
O14 0.9296 0.9296 0.9829

Peak list (8 most intense, 2θ from 5° to 70°, by intensity)
two_theta  intensity
18.28  100.0
43.69  56.5
42.43  26.0
35.97  25.4
35.13  14.1
62.45  14.0
62.64  13.1
57.60  9.6

(2)
This entry pairs a crystal structure of Li7Mn2Co3O12 with its computed XRD peak list. Radiation: a wavelength of 1.5418 Å. Structure: a structure optimized by DFT (PBE+U).
Intensities are scaled so that the largest is 100.

Structure:
a b c (Å): 7.8197 7.8197 10.3134
angles (deg): 109.55 109.55 21.38
Sites, in units of the cell vectors:
Li1 0.0000 0.0000 0.0000
Li2 0.0006 0.0006 0.5066
Li3 0.3378 0.3378 0.8221
Li4 0.3424 0.3424 0.3541
Li5 0.6714 0.6714 0.1761
Li6 0.6735 0.6735 0.6670
Li7 0.8346 0.8346 0.5897
Mn1 0.1684 0.1684 0.9198
Mn2 0.1760 0.1760 0.4294
Co1 0.4902 0.4902 0.7353
Co2 0.5051 0.5051 0.2555
Co3 0.8399 0.8399 0.0913
O1 0.0868 0.0868 0.7339
O2 0.0883 0.0883 0.2262
O3 0.2461 0.2461 0.6132
O4 0.2554 0.2554 0.1138
O5 0.4161 0.4161 0.0528
O6 0.4275 0.4275 0.5543
O7 0.5959 0.5959 0.4560
O8 0.5984 0.5984 0.9620
O9 0.7441 0.7441 0.8852
O10 0.7448 0.7448 0.3839
O11 0.9221 0.9221 0.2901
O12 0.9265 0.9265 0.7968

Peak list (8 most intense, 2θ from 5° to 70°, by intensity)
two_theta  intensity
18.24  100.0
43.64  55.4
43.22  26.9
36.14  24.6
62.84  14.6
35.69  14.0
63.36  13.6
9.12  10.8

Copy entry 2 word for word.
This entry pairs a crystal structure of Li7Mn2Co3O12 with its computed XRD peak list. Radiation: a wavelength of 1.5418 Å. Structure: a structure optimized by DFT (PBE+U).
Intensities are scaled so that the largest is 100.

Structure:
a b c (Å): 7.8197 7.8197 10.3134
angles (deg): 109.55 109.55 21.38
Sites, in units of the cell vectors:
Li1 0.0000 0.0000 0.0000
Li2 0.0006 0.0006 0.5066
Li3 0.3378 0.3378 0.8221
Li4 0.3424 0.3424 0.3541
Li5 0.6714 0.6714 0.1761
Li6 0.6735 0.6735 0.6670
Li7 0.8346 0.8346 0.5897
Mn1 0.1684 0.1684 0.9198
Mn2 0.1760 0.1760 0.4294
Co1 0.4902 0.4902 0.7353
Co2 0.5051 0.5051 0.2555
Co3 0.8399 0.8399 0.0913
O1 0.0868 0.0868 0.7339
O2 0.0883 0.0883 0.2262
O3 0.2461 0.2461 0.6132
O4 0.2554 0.2554 0.1138
O5 0.4161 0.4161 0.0528
O6 0.4275 0.4275 0.5543
O7 0.5959 0.5959 0.4560
O8 0.5984 0.5984 0.9620
O9 0.7441 0.7441 0.8852
O10 0.7448 0.7448 0.3839
O11 0.9221 0.9221 0.2901
O12 0.9265 0.9265 0.7968

Peak list (8 most intense, 2θ from 5° to 70°, by intensity)
two_theta  intensity
18.24  100.0
43.64  55.4
43.22  26.9
36.14  24.6
62.84  14.6
35.69  14.0
63.36  13.6
9.12  10.8